No. 1
For Pr3CuIr2, a DFT-relaxed cell (GGA-PBE, Alexandria) gives the theoretical powder X-ray diffraction pattern in this record (Cu Kα (weighted mean of Kα1 and Kα2)).

```
data_Pr3CuIr2
_chemical_formula_sum 'Pr12 Cu4 Ir8'
_symmetry_space_group_name_H-M 'P 1'
_symmetry_Int_Tables_number 1
_cell_length_a 11.818
_cell_length_b 4.206
_cell_length_c 11.759
_cell_angle_alpha 90.00
_cell_angle_beta 90.00
_cell_angle_gamma 90.00
loop_
_symmetry_equiv_pos_as_xyz
'x,y,z'
loop_
_atom_site_label
_atom_site_type_symbol
_atom_site_fract_x
_atom_site_fract_y
_atom_site_fract_z
Pr1 Pr 0.055 0.250 0.124
Pr2 Pr 0.121 0.750 0.563
Pr3 Pr 0.202 0.250 0.812
Pr4 Pr 0.298 0.750 0.312
Pr5 Pr 0.379 0.250 0.063
Pr6 Pr 0.445 0.750 0.624
Pr7 Pr 0.555 0.250 0.376
Pr8 Pr 0.621 0.750 0.937
Pr9 Pr 0.702 0.250 0.688
Pr10 Pr 0.798 0.750 0.188
Pr11 Pr 0.879 0.250 0.437
Pr12 Pr 0.945 0.750 0.876
Cu1 Cu 0.129 0.250 0.375
Cu2 Cu 0.371 0.750 0.875
Cu3 Cu 0.629 0.250 0.125
Cu4 Cu 0.871 0.750 0.625
Ir1 Ir 0.019 0.750 0.317
Ir2 Ir 0.181 0.750 0.988
Ir3 Ir 0.319 0.250 0.488
Ir4 Ir 0.481 0.250 0.817
Ir5 Ir 0.519 0.750 0.183
Ir6 Ir 0.681 0.750 0.512
Ir7 Ir 0.819 0.250 0.012
Ir8 Ir 0.981 0.250 0.683
```

Main lines, most intense first (15 to 90 degrees two-theta):
- d 2.867, I 1000
- d 2.583, I 765
- d 2.789, I 749
- d 2.234, I 677
- d 2.103, I 557
- d 2.961, I 546



No. 2
For Na2B3C, a DFT-relaxed cell (GGA-PBE, Alexandria) gives the theoretical powder X-ray diffraction pattern in this record (Cu Kα (weighted mean of Kα1 and Kα2)).

```
data_Na2B3C
_chemical_formula_sum 'Na8 B12 C4'
_symmetry_space_group_name_H-M 'P 1'
_symmetry_Int_Tables_number 1
_cell_length_a 2.786
_cell_length_b 17.295
_cell_length_c 5.256
_cell_angle_alpha 90.00
_cell_angle_beta 90.00
_cell_angle_gamma 90.00
loop_
_symmetry_equiv_pos_as_xyz
'x,y,z'
loop_
_atom_site_label
_atom_site_type_symbol
_atom_site_fract_x
_atom_site_fract_y
_atom_site_fract_z
Na1 Na 0.000 0.124 0.000
Na2 Na 0.000 0.375 0.998
Na3 Na 0.000 0.625 0.998
Na4 Na 0.000 0.876 0.000
Na5 Na 0.500 0.125 0.496
Na6 Na 0.500 0.375 0.498
Na7 Na 0.500 0.625 0.498
Na8 Na 0.500 0.875 0.496
B1 B 0.000 0.000 0.634
B2 B 0.000 0.250 0.316
B3 B 0.000 0.250 0.648
B4 B 0.000 0.500 0.348
B5 B 0.000 0.500 0.680
B6 B 0.000 0.750 0.316
B7 B 0.000 0.750 0.648
B8 B 0.500 0.000 0.179
B9 B 0.500 0.000 0.848
B10 B 0.500 0.250 0.862
B11 B 0.500 0.500 0.134
B12 B 0.500 0.750 0.862
C1 C 0.000 0.000 0.336
C2 C 0.500 0.250 0.160
C3 C 0.500 0.500 0.837
C4 C 0.500 0.750 0.160
```

Main lines, most intense first (15 to 90 degrees two-theta):
- d 2.139, I 1000
- d 2.246, I 502
- d 2.162, I 386
- d 1.483, I 181
- d 1.223, I 174
- d 2.462, I 160



No. 3
For NaPa3P4N12, a DFT-relaxed cell (GGA-PBE, Alexandria) gives the theoretical powder X-ray diffraction pattern in this record (Cu Kα (weighted mean of Kα1 and Kα2)).

```
data_NaPa3P4N12
_chemical_formula_sum 'Na1 Pa3 P4 N12'
_symmetry_space_group_name_H-M 'P 1'
_symmetry_Int_Tables_number 1
_cell_length_a 6.971
_cell_length_b 6.971
_cell_length_c 6.971
_cell_angle_alpha 102.95
_cell_angle_beta 102.95
_cell_angle_gamma 102.95
loop_
_symmetry_equiv_pos_as_xyz
'x,y,z'
loop_
_atom_site_label
_atom_site_type_symbol
_atom_site_fract_x
_atom_site_fract_y
_atom_site_fract_z
Na1 Na 0.000 0.000 0.000
Pa1 Pa 0.000 0.545 0.455
Pa2 Pa 0.455 0.000 0.545
Pa3 Pa 0.545 0.455 0.000
P1 P 0.047 0.500 0.953
P2 P 0.500 0.500 0.500
P3 P 0.500 0.953 0.047
P4 P 0.953 0.047 0.500
N1 N 0.015 0.612 0.780
N2 N 0.099 0.901 0.500
N3 N 0.220 0.388 0.985
N4 N 0.355 0.645 0.500
N5 N 0.388 0.985 0.220
N6 N 0.500 0.099 0.901
N7 N 0.500 0.355 0.645
N8 N 0.612 0.780 0.015
N9 N 0.645 0.500 0.355
N10 N 0.780 0.015 0.612
N11 N 0.901 0.500 0.099
N12 N 0.985 0.220 0.388
```

Main lines, most intense first (15 to 90 degrees two-theta):
- d 3.252, I 1000
- d 4.179, I 697
- d 5.454, I 533
- d 3.317, I 358
- d 2.262, I 353
- d 2.515, I 352



No. 4
For NpAsSe, a DFT-relaxed cell (GGA-PBE, Alexandria) gives the theoretical powder X-ray diffraction pattern in this record (Cu Kα (weighted mean of Kα1 and Kα2)).

```
data_NpAsSe
_chemical_formula_sum 'Np2 As2 Se2'
_symmetry_space_group_name_H-M 'P 1'
_symmetry_Int_Tables_number 1
_cell_length_a 8.767
_cell_length_b 8.767
_cell_length_c 8.767
_cell_angle_alpha 153.68
_cell_angle_beta 153.68
_cell_angle_gamma 37.57
loop_
_symmetry_equiv_pos_as_xyz
'x,y,z'
loop_
_atom_site_label
_atom_site_type_symbol
_atom_site_fract_x
_atom_site_fract_y
_atom_site_fract_z
Np1 Np 0.135 0.135 0.000
Np2 Np 0.865 0.865 0.000
As1 As 0.000 0.500 0.500
As2 As 0.500 0.000 0.500
Se1 Se 0.316 0.316 0.000
Se2 Se 0.684 0.684 0.000
```

Main lines, most intense first (15 to 90 degrees two-theta):
- d 2.334, I 1000
- d 3.882, I 565
- d 1.996, I 497
- d 2.823, I 479
- d 2.553, I 415
- d 2.039, I 392



No. 5
For ZnIn4Ir, a DFT-relaxed cell (GGA-PBE, Alexandria) gives the theoretical powder X-ray diffraction pattern in this record (Cu Kα (weighted mean of Kα1 and Kα2)).

```
data_ZnIn4Ir
_chemical_formula_sum 'Zn2 In8 Ir2'
_symmetry_space_group_name_H-M 'P 1'
_symmetry_Int_Tables_number 1
_cell_length_a 7.238
_cell_length_b 7.238
_cell_length_c 7.238
_cell_angle_alpha 122.47
_cell_angle_beta 122.47
_cell_angle_gamma 85.77
loop_
_symmetry_equiv_pos_as_xyz
'x,y,z'
loop_
_atom_site_label
_atom_site_type_symbol
_atom_site_fract_x
_atom_site_fract_y
_atom_site_fract_z
Zn1 Zn 0.000 0.000 0.000
Zn2 Zn 0.500 0.500 0.000
In1 In 0.019 0.519 0.815
In2 In 0.204 0.019 0.500
In3 In 0.296 0.796 0.815
In4 In 0.481 0.296 0.500
In5 In 0.519 0.704 0.500
In6 In 0.704 0.204 0.185
In7 In 0.796 0.981 0.500
In8 In 0.981 0.481 0.185
Ir1 Ir 0.250 0.250 0.000
Ir2 Ir 0.750 0.750 0.000
```

Main lines, most intense first (15 to 90 degrees two-theta):
- d 2.336, I 1000
- d 2.203, I 641
- d 2.989, I 615
- d 2.110, I 403
- d 1.396, I 258
- d 5.303, I 219



No. 6
For HgBi2F11, a DFT-relaxed cell (GGA-PBE, Alexandria) gives the theoretical powder X-ray diffraction pattern in this record (Cu Kα (weighted mean of Kα1 and Kα2)).

```
data_HgBi2F11
_chemical_formula_sum 'Hg2 Bi4 F22'
_symmetry_space_group_name_H-M 'P 1'
_symmetry_Int_Tables_number 1
_cell_length_a 8.575
_cell_length_b 8.575
_cell_length_c 8.575
_cell_angle_alpha 122.86
_cell_angle_beta 105.79
_cell_angle_gamma 100.68
loop_
_symmetry_equiv_pos_as_xyz
'x,y,z'
loop_
_atom_site_label
_atom_site_type_symbol
_atom_site_fract_x
_atom_site_fract_y
_atom_site_fract_z
Hg1 Hg 0.250 0.250 0.000
Hg2 Hg 0.750 0.750 0.000
Bi1 Bi 0.182 0.643 0.825
Bi2 Bi 0.318 0.143 0.461
Bi3 Bi 0.682 0.857 0.539
Bi4 Bi 0.818 0.357 0.175
F1 F 0.000 0.500 0.500
F2 F 0.042 0.959 0.283
F3 F 0.063 0.371 0.163
F4 F 0.176 0.459 0.918
F5 F 0.208 0.900 0.837
F6 F 0.214 0.372 0.585
F7 F 0.286 0.872 0.158
F8 F 0.292 0.129 0.691
F9 F 0.324 0.241 0.283
F10 F 0.437 0.600 0.309
F11 F 0.458 0.741 0.918
F12 F 0.500 0.000 0.500
F13 F 0.542 0.259 0.082
F14 F 0.563 0.400 0.691
F15 F 0.676 0.759 0.717
F16 F 0.708 0.871 0.309
F17 F 0.714 0.128 0.842
F18 F 0.786 0.628 0.415
F19 F 0.792 0.100 0.163
F20 F 0.824 0.541 0.082
F21 F 0.937 0.629 0.837
F22 F 0.958 0.041 0.717
```

Main lines, most intense first (15 to 90 degrees two-theta):
- d 4.167, I 1000
- d 3.600, I 814
- d 3.760, I 785
- d 4.063, I 508
- d 1.995, I 440
- d 2.074, I 341



No. 7
For Tl4FeCl5, a DFT-relaxed cell (GGA-PBE, Alexandria) gives the theoretical powder X-ray diffraction pattern in this record (Cu Kα (weighted mean of Kα1 and Kα2)).

```
data_Tl4FeCl5
_chemical_formula_sum 'Tl4 Fe1 Cl5'
_symmetry_space_group_name_H-M 'P 1'
_symmetry_Int_Tables_number 1
_cell_length_a 7.581
_cell_length_b 7.581
_cell_length_c 7.581
_cell_angle_alpha 100.04
_cell_angle_beta 100.04
_cell_angle_gamma 130.63
loop_
_symmetry_equiv_pos_as_xyz
'x,y,z'
loop_
_atom_site_label
_atom_site_type_symbol
_atom_site_fract_x
_atom_site_fract_y
_atom_site_fract_z
Tl1 Tl 0.082 0.686 0.768
Tl2 Tl 0.314 0.082 0.395
Tl3 Tl 0.686 0.918 0.605
Tl4 Tl 0.918 0.314 0.232
Fe1 Fe 0.455 0.455 0.000
Cl1 Cl 0.067 0.067 0.000
Cl2 Cl 0.280 0.407 0.669
Cl3 Cl 0.407 0.738 0.127
Cl4 Cl 0.611 0.280 0.873
Cl5 Cl 0.738 0.611 0.331
```

Main lines, most intense first (15 to 90 degrees two-theta):
- d 3.589, I 1000
- d 3.081, I 639
- d 2.208, I 484
- d 3.166, I 396
- d 1.862, I 386
- d 1.795, I 229



No. 8
For Th2Ni2Pt, a DFT-relaxed cell (GGA-PBE, Alexandria) gives the theoretical powder X-ray diffraction pattern in this record (Cu Kα (weighted mean of Kα1 and Kα2)).

```
data_Th2Ni2Pt
_chemical_formula_sum 'Th8 Ni8 Pt4'
_symmetry_space_group_name_H-M 'P 1'
_symmetry_Int_Tables_number 1
_cell_length_a 7.280
_cell_length_b 7.280
_cell_length_c 7.515
_cell_angle_alpha 90.00
_cell_angle_beta 90.00
_cell_angle_gamma 90.00
loop_
_symmetry_equiv_pos_as_xyz
'x,y,z'
loop_
_atom_site_label
_atom_site_type_symbol
_atom_site_fract_x
_atom_site_fract_y
_atom_site_fract_z
Th1 Th 0.180 0.319 0.000
Th2 Th 0.181 0.320 0.500
Th3 Th 0.319 0.820 0.000
Th4 Th 0.320 0.819 0.500
Th5 Th 0.680 0.181 0.500
Th6 Th 0.681 0.180 0.000
Th7 Th 0.819 0.680 0.500
Th8 Th 0.820 0.681 0.000
Ni1 Ni 0.122 0.622 0.250
Ni2 Ni 0.122 0.622 0.750
Ni3 Ni 0.378 0.122 0.250
Ni4 Ni 0.378 0.122 0.750
Ni5 Ni 0.622 0.878 0.250
Ni6 Ni 0.622 0.878 0.750
Ni7 Ni 0.878 0.378 0.250
Ni8 Ni 0.878 0.378 0.750
Pt1 Pt 0.000 0.000 0.250
Pt2 Pt 0.000 0.000 0.750
Pt3 Pt 0.500 0.500 0.250
Pt4 Pt 0.500 0.500 0.750
```

Main lines, most intense first (15 to 90 degrees two-theta):
- d 2.461, I 1000
- d 2.614, I 858
- d 2.302, I 492
- d 3.256, I 309
- d 1.598, I 264
- d 2.574, I 249